Structure and theoretical X-ray powder pattern of ZnCu2Sn2O8 (DFT lattice parameters and positions (GGA-PBE); Cu Kα (λ = 1.5418 Å)).
Intensities are scaled so that the largest is 100.

Main lines, in order of falling intensity (2θ = 10–90°):
d (Å)	2theta	I (rel.)
2.858	31.30	100
3.175	28.10	96
3.867	23.00	72
3.139	28.43	57
2.840	31.50	55
4.410	20.14	50
3.022	29.56	43
2.493	36.03	42
2.169	41.63	35
2.694	33.25	34
1.636	56.24	31
1.629	56.49	27

abc: 6.218 8.820 12.087
angles: 90.00 90.83 90.00
Space group P2_1/c (No. 14)
One atom of each set of equivalent atoms:
Zn1 0.102 0.148 0.471 (multiplicity 4)
Cu1 0.247 0.690 0.832 (multiplicity 4)
Cu2 0.374 0.073 0.897 (multiplicity 4)
Sn1 0.092 0.049 0.154 (multiplicity 4)
Sn2 0.436 0.566 0.151 (multiplicity 4)
O1 0.035 0.232 0.629 (multiplicity 4)
O2 0.085 0.126 0.902 (multiplicity 4)
O3 0.196 0.556 0.041 (multiplicity 4)
O4 0.203 0.021 0.314 (multiplicity 4)
O5 0.279 0.602 0.302 (multiplicity 4)
O6 0.347 0.517 0.570 (multiplicity 4)
O7 0.414 0.224 0.441 (multiplicity 4)
O8 0.472 0.154 0.698 (multiplicity 4)